(1)
This entry pairs a crystal structure of Na4Hf2Ge3O12 with its calculated powder diffraction line list. Radiation: Cu Kα X-rays. Structure: DFT lattice parameters and positions (PBE).

Structure:
a = 9.3302 Å, b = 9.3302 Å, c = 9.3302 Å
α = 61.39°, β = 61.39°, γ = 61.39°
Positions (direct):
Na 0.0000 0.0000 0.0000
Na 0.1289 0.7500 0.3711
Na 0.2500 0.6289 0.8711
Na 0.3711 0.1289 0.7500
Na 0.5000 0.5000 0.5000
Na 0.6289 0.8711 0.2500
Na 0.7500 0.3711 0.1289
Na 0.8711 0.2500 0.6289
Hf 0.1440 0.1440 0.1440
Hf 0.3560 0.3560 0.3560
Hf 0.6440 0.6440 0.6440
Hf 0.8560 0.8560 0.8560
Ge 0.0429 0.4571 0.7500
Ge 0.2500 0.9571 0.5429
Ge 0.4571 0.7500 0.0429
Ge 0.5429 0.2500 0.9571
Ge 0.7500 0.0429 0.4571
Ge 0.9571 0.5429 0.2500
O 0.0100 0.6366 0.7936
O 0.0616 0.2614 0.9239
O 0.0761 0.9384 0.7386
O 0.1366 0.5100 0.2936
O 0.2064 0.9900 0.3634
O 0.2386 0.4384 0.5761
O 0.2614 0.9239 0.0616
O 0.2936 0.1366 0.5100
O 0.3634 0.2064 0.9900
O 0.4239 0.7614 0.5616
O 0.4384 0.5761 0.2386
O 0.4900 0.7064 0.8634
O 0.5100 0.2936 0.1366
O 0.5616 0.4239 0.7614
O 0.5761 0.2386 0.4384
O 0.6366 0.7936 0.0100
O 0.7064 0.8634 0.4900
O 0.7386 0.0761 0.9384
O 0.7614 0.5616 0.4239
O 0.7936 0.0100 0.6366
O 0.8634 0.4900 0.7064
O 0.9239 0.0616 0.2614
O 0.9384 0.7386 0.0761
O 0.9900 0.3634 0.2064

Largest 12 diffraction maxima, low angle first, 2θ from 5° to 70°:
d_spacing  Rel. int.
6.664  19
4.763  71
4.663  91
4.026  45
3.332  54
2.955  100
2.750  86
2.730  43
2.013  34
1.800  20
1.624  28
1.434  26

(2)
This entry pairs a crystal structure of Cu4AgPd2 with its calculated powder diffraction line list. Radiation: Cu Kα X-rays. Structure: DFT lattice parameters and positions (PBE).

Structure:
a = 5.8373 Å, b = 5.8373 Å, c = 5.8373 Å
α = 131.47°, β = 131.47°, γ = 71.07°
Positions (direct):
Cu 0.0000 0.5000 0.5000
Cu 0.2500 0.7500 0.5000
Cu 0.5000 0.0000 0.5000
Cu 0.7500 0.2500 0.5000
Ag 0.0000 0.0000 0.0000
Pd 0.3592 0.3592 0.0000
Pd 0.6408 0.6408 0.0000

Largest 12 diffraction maxima, low angle first, 2θ from 5° to 70°:
d_spacing  Rel. int.
2.761  4
2.643  66
2.399  100
2.375  5
1.946  38
1.776  39
1.767  6
1.696  33
1.688  6
1.435  6
1.428  9
1.423  6

(3)
This entry pairs a crystal structure of CaIn2Ge with its calculated powder diffraction line list. Radiation: Cu Kα X-rays. Structure: DFT lattice parameters and positions (PBE).

Structure:
a = 4.4967 Å, b = 4.4967 Å, c = 4.8267 Å
α = 90.00°, β = 90.00°, γ = 90.00°
Positions (direct):
Ca 0.0000 0.0000 0.0000
In 0.0000 0.5000 0.5000
In 0.5000 0.0000 0.5000
Ge 0.5000 0.5000 0.0000

Largest 12 diffraction maxima, low angle first, 2θ from 5° to 70°:
d_spacing  Rel. int.
4.827  12
3.180  9
2.655  100
2.413  19
2.248  31
2.038  5
1.922  4
1.645  22
1.590  10
1.510  2
1.436  14
1.364  24

(4)
This entry pairs a crystal structure of Ac2MnCuPt6 with its calculated powder diffraction line list. Radiation: Cu Kα X-rays. Structure: DFT lattice parameters and positions (PBE).

Structure:
a = 6.8029 Å, b = 6.8029 Å, c = 8.6193 Å
α = 129.29°, β = 129.29°, γ = 47.60°
Positions (direct):
Ac 0.2447 0.2447 0.2031
Ac 0.7553 0.7553 0.7969
Mn 0.0000 0.0000 0.5000
Cu 0.5000 0.5000 0.0000
Pt 0.2502 0.7445 0.7443
Pt 0.2507 0.2507 0.6013
Pt 0.2555 0.7498 0.2557
Pt 0.7445 0.2502 0.7443
Pt 0.7493 0.7493 0.3987
Pt 0.7498 0.2555 0.2557

Largest 12 diffraction maxima, low angle first, 2θ from 5° to 70°:
d_spacing  Rel. int.
6.220  23
3.224  23
3.172  72
3.110  82
2.342  100
2.315  60
2.246  89
2.215  51
2.058  25
1.943  26
1.694  21
1.612  39

(5)
This entry pairs a crystal structure of Nd4GaHg with its calculated powder diffraction line list. Radiation: Cu Kα X-rays. Structure: DFT lattice parameters and positions (PBE).

Structure:
a = 6.2724 Å, b = 6.2724 Å, c = 8.9841 Å
α = 106.39°, β = 106.39°, γ = 34.27°
Positions (direct):
Nd 0.0000 0.0000 0.0000
Nd 0.2606 0.2606 0.7214
Nd 0.5015 0.5015 0.6310
Nd 0.7654 0.7654 0.3216
Ga 0.7012 0.7012 0.9598
Hg 0.0562 0.0562 0.3681

Largest 12 diffraction maxima, low angle first, 2θ from 5° to 70°:
d_spacing  Rel. int.
3.363  45
3.156  35
3.031  26
2.862  100
2.850  24
2.698  83
2.607  34
2.501  30
2.411  35
2.325  31
2.075  29
1.552  32